Record 1
Theoretical XRD peak list
Compound: Li2Fe3P4H4O16
Radiation: a wavelength of 1.5418 Å
Structure: a crystal structure in the Materials Project, relaxed with PBE+U
Peak positions follow from Bragg's law for the DFT cell and can differ from measured ones.

Crystal structure
Cell lengths 8.867, 8.187, 9.111 Å; angles 90.00, 99.80, 90.00 degrees
Sites, in units of the cell vectors:
Li 0.002 0.167 0.472
Li 0.002 0.333 0.972
Li 0.998 0.667 0.028
Li 0.998 0.833 0.528
Fe 0.356 0.641 0.506
Fe 0.356 0.859 0.006
Fe 0.500 0.000 0.500
Fe 0.500 0.500 0.000
Fe 0.644 0.141 0.994
Fe 0.644 0.359 0.494
P 0.177 0.561 0.771
P 0.177 0.939 0.271
P 0.387 0.199 0.204
P 0.387 0.301 0.704
P 0.613 0.699 0.296
P 0.613 0.801 0.796
P 0.823 0.061 0.729
P 0.823 0.439 0.229
H 0.117 0.505 0.287
H 0.117 0.995 0.787
H 0.284 0.034 0.767
H 0.284 0.466 0.267
H 0.716 0.534 0.733
H 0.716 0.966 0.233
H 0.883 0.005 0.213
H 0.883 0.495 0.713
O 0.038 0.533 0.850
O 0.038 0.967 0.350
O 0.142 0.659 0.626
O 0.142 0.841 0.126
O 0.221 0.125 0.228
O 0.221 0.375 0.728
O 0.223 0.506 0.343
O 0.223 0.994 0.843
O 0.314 0.629 0.881
O 0.314 0.871 0.381
O 0.350 0.135 0.630
O 0.350 0.365 0.130
O 0.454 0.074 0.108
O 0.454 0.426 0.608
O 0.488 0.209 0.359
O 0.488 0.291 0.859
O 0.512 0.709 0.141
O 0.512 0.791 0.641
O 0.546 0.574 0.392
O 0.546 0.926 0.892
O 0.650 0.635 0.870
O 0.650 0.865 0.370
O 0.686 0.129 0.619
O 0.686 0.371 0.119
O 0.777 0.006 0.157
O 0.777 0.494 0.657
O 0.779 0.625 0.272
O 0.779 0.875 0.772
O 0.858 0.159 0.874
O 0.858 0.341 0.374
O 0.962 0.033 0.650
O 0.962 0.467 0.150

Largest 8 diffraction maxima, by intensity, 2θ = 10–80°:
2theta, I (rel.)
10.12, 1000
28.16, 218
30.14, 193
26.18, 155
26.67, 149
18.77, 139
16.84, 117
23.76, 114

Record 2
Theoretical XRD peak list
Compound: Li3V2P3O12
Radiation: a wavelength of 1.5418 Å
Structure: a crystal structure in the Materials Project, relaxed with PBE+U
Peak positions follow from Bragg's law for the DFT cell and can differ from measured ones.

Crystal structure
Cell lengths 8.442, 8.442, 8.602 Å; angles 118.08, 118.08, 63.30 degrees
Sites, in units of the cell vectors:
Li 0.000 0.500 0.500
Li 0.160 0.236 0.141
Li 0.236 0.160 0.641
Li 0.500 0.000 0.000
Li 0.764 0.840 0.359
Li 0.840 0.764 0.859
V 0.143 0.635 0.352
V 0.365 0.857 0.148
V 0.635 0.143 0.852
V 0.857 0.365 0.648
P 0.044 0.956 0.750
P 0.255 0.446 0.966
P 0.446 0.255 0.466
P 0.554 0.745 0.534
P 0.745 0.554 0.034
P 0.956 0.044 0.250
O 0.016 0.124 0.702
O 0.054 0.771 0.581
O 0.098 0.440 0.770
O 0.124 0.016 0.202
O 0.187 0.455 0.110
O 0.229 0.946 0.919
O 0.251 0.406 0.429
O 0.319 0.615 0.031
O 0.385 0.681 0.469
O 0.406 0.251 0.929
O 0.440 0.098 0.270
O 0.455 0.187 0.610
O 0.545 0.813 0.390
O 0.560 0.902 0.730
O 0.594 0.749 0.071
O 0.615 0.319 0.531
O 0.681 0.385 0.969
O 0.749 0.594 0.571
O 0.771 0.054 0.081
O 0.813 0.545 0.890
O 0.876 0.984 0.798
O 0.902 0.560 0.230
O 0.946 0.229 0.419
O 0.984 0.876 0.298

Largest 8 diffraction maxima, by intensity, 2θ = 10–80°:
2theta, I (rel.)
23.97, 1000
24.46, 955
23.84, 932
21.08, 926
28.96, 564
20.26, 538
14.36, 501
35.22, 425

Record 3
Theoretical XRD peak list
Compound: CaMn3V4O12
Radiation: a wavelength of 1.5418 Å
Structure: a crystal structure in the Materials Project, relaxed with PBE+U
Peak positions follow from Bragg's law for the DFT cell and can differ from measured ones.

Crystal structure
Cell lengths 7.515, 7.551, 7.555 Å; angles 90.16, 90.08, 90.08 degrees
Sites, in units of the cell vectors:
Ca 0.000 0.000 0.000
Ca 0.496 0.502 0.501
Mn 0.005 0.500 0.001
Mn 0.497 0.001 0.500
Mn 0.498 0.001 0.998
Mn 0.498 0.499 0.000
Mn 0.997 0.000 0.501
Mn 0.998 0.501 0.502
V 0.247 0.251 0.750
V 0.248 0.250 0.251
V 0.248 0.751 0.751
V 0.249 0.751 0.251
V 0.748 0.251 0.251
V 0.748 0.251 0.750
V 0.748 0.751 0.751
V 0.749 0.750 0.250
O 0.002 0.293 0.190
O 0.005 0.708 0.195
O 0.187 0.000 0.299
O 0.196 0.009 0.706
O 0.200 0.312 0.501
O 0.202 0.695 0.509
O 0.294 0.807 0.992
O 0.296 0.190 0.000
O 0.300 0.493 0.795
O 0.307 0.501 0.202
O 0.490 0.795 0.307
O 0.493 0.207 0.313
O 0.501 0.797 0.688
O 0.506 0.207 0.694
O 0.687 0.501 0.796
O 0.695 0.509 0.208
O 0.701 0.196 0.010
O 0.701 0.811 0.999
O 0.794 0.306 0.492
O 0.795 0.691 0.502
O 0.798 0.993 0.295
O 0.808 0.001 0.704
O 0.990 0.294 0.807
O 0.995 0.707 0.813

Largest 8 diffraction maxima, by intensity, 2θ = 10–80°:
2theta, I (rel.)
33.65, 1000
33.56, 505
48.19, 354
60.01, 304
60.19, 179
60.14, 178
48.45, 174
70.67, 113

Record 4
Theoretical XRD peak list
Compound: Cs2CrO4
Radiation: a wavelength of 1.5418 Å
Structure: a crystal structure in the Materials Project, relaxed with PBE+U
Peak positions follow from Bragg's law for the DFT cell and can differ from measured ones.

Crystal structure
Cell lengths 8.583, 6.430, 11.452 Å; angles 90.00, 90.00, 90.00 degrees
Sites, in units of the cell vectors:
Cs 0.012 0.250 0.196
Cs 0.171 0.750 0.413
Cs 0.329 0.250 0.913
Cs 0.488 0.750 0.696
Cs 0.512 0.250 0.304
Cs 0.671 0.750 0.087
Cs 0.829 0.250 0.587
Cs 0.988 0.750 0.804
Cr 0.234 0.750 0.080
Cr 0.266 0.250 0.580
Cr 0.734 0.750 0.420
Cr 0.766 0.250 0.920
O 0.040 0.750 0.085
O 0.198 0.037 0.646
O 0.198 0.463 0.646
O 0.206 0.250 0.441
O 0.294 0.750 0.941
O 0.302 0.537 0.146
O 0.302 0.963 0.146
O 0.460 0.250 0.585
O 0.540 0.750 0.415
O 0.698 0.037 0.854
O 0.698 0.463 0.854
O 0.706 0.250 0.059
O 0.794 0.750 0.559
O 0.802 0.537 0.354
O 0.802 0.963 0.354
O 0.960 0.250 0.915

Largest 8 diffraction maxima, by intensity, 2θ = 10–80°:
2theta, I (rel.)
26.15, 1000
27.17, 973
27.75, 709
23.24, 586
25.95, 411
38.35, 336
32.25, 299
47.08, 289

What is the formula in the fourth record?
Cs2CrO4

What did the fourth record say?
Theoretical XRD peak list
Compound: Cs2CrO4
Radiation: a wavelength of 1.5418 Å
Structure: a crystal structure in the Materials Project, relaxed with PBE+U
Peak positions follow from Bragg's law for the DFT cell and can differ from measured ones.

Crystal structure
Cell lengths 8.583, 6.430, 11.452 Å; angles 90.00, 90.00, 90.00 degrees
Sites, in units of the cell vectors:
Cs 0.012 0.250 0.196
Cs 0.171 0.750 0.413
Cs 0.329 0.250 0.913
Cs 0.488 0.750 0.696
Cs 0.512 0.250 0.304
Cs 0.671 0.750 0.087
Cs 0.829 0.250 0.587
Cs 0.988 0.750 0.804
Cr 0.234 0.750 0.080
Cr 0.266 0.250 0.580
Cr 0.734 0.750 0.420
Cr 0.766 0.250 0.920
O 0.040 0.750 0.085
O 0.198 0.037 0.646
O 0.198 0.463 0.646
O 0.206 0.250 0.441
O 0.294 0.750 0.941
O 0.302 0.537 0.146
O 0.302 0.963 0.146
O 0.460 0.250 0.585
O 0.540 0.750 0.415
O 0.698 0.037 0.854
O 0.698 0.463 0.854
O 0.706 0.250 0.059
O 0.794 0.750 0.559
O 0.802 0.537 0.354
O 0.802 0.963 0.354
O 0.960 0.250 0.915

Largest 8 diffraction maxima, by intensity, 2θ = 10–80°:
2theta, I (rel.)
26.15, 1000
27.17, 973
27.75, 709
23.24, 586
25.95, 411
38.35, 336
32.25, 299
47.08, 289